# 1
Pa2MnZn16: computed X-ray diffraction stick pattern (Cu Kα, 1.54184 Å), based on a cell relaxed with PBE.
Lines closer than 0.1° are merged.

The 10 most intense peaks (10 to 90 degrees two-theta), sorted by position:
3.134 Å, I 48; 2.583 Å, I 42; 2.510 Å, I 28; 2.237 Å, I 60; 2.227 Å, I 100; 2.196 Å, I 31; 2.179 Å, I 21; 1.578 Å, I 20; 1.567 Å, I 19; 1.292 Å, I 22

Atomic structure:
Unit cell a=6.781 b=6.781 c=6.781 alpha=82.58 beta=82.58 gamma=82.58
Fractional coordinates of all 19 atoms:
Pa1 0.000 0.000 0.000
Pa2 0.327 0.327 0.327
Mn1 0.556 0.556 0.556
Zn1 0.016 0.016 0.497
Zn2 0.016 0.497 0.016
Zn3 0.160 0.659 0.659
Zn4 0.307 0.307 0.811
Zn5 0.307 0.811 0.307
Zn6 0.368 0.659 0.949
Zn7 0.368 0.949 0.659
Zn8 0.497 0.016 0.016
Zn9 0.659 0.160 0.659
Zn10 0.659 0.368 0.949
Zn11 0.659 0.659 0.160
Zn12 0.659 0.949 0.368
Zn13 0.763 0.763 0.763
Zn14 0.811 0.307 0.307
Zn15 0.949 0.368 0.659
Zn16 0.949 0.659 0.368

---

# 2
Tm5Sb2Ir: computed X-ray diffraction stick pattern (Cu Kα, 1.54184 Å), based on a cell relaxed with PBE.
Lines closer than 0.1° are merged.

The 10 most intense peaks (10 to 90 degrees two-theta), sorted by position:
3.256 Å, I 36; 2.853 Å, I 84; 2.828 Å, I 55; 2.812 Å, I 21; 2.792 Å, I 41; 2.642 Å, I 100; 2.503 Å, I 31; 2.218 Å, I 53; 1.745 Å, I 27; 1.717 Å, I 23

Atomic structure:
Unit cell a=7.829 b=12.129 c=4.436 alpha=90.00 beta=90.00 gamma=90.00
Fractional coordinates of all 16 atoms:
Tm1 0.000 0.000 0.000
Tm2 0.149 0.300 0.000
Tm3 0.181 0.567 0.500
Tm4 0.319 0.067 0.500
Tm5 0.351 0.800 0.000
Tm6 0.500 0.500 0.000
Tm7 0.649 0.200 0.000
Tm8 0.681 0.933 0.500
Tm9 0.819 0.433 0.500
Tm10 0.851 0.700 0.000
Sb1 0.063 0.827 0.500
Sb2 0.437 0.327 0.500
Sb3 0.563 0.673 0.500
Sb4 0.937 0.173 0.500
Ir1 0.000 0.500 0.000
Ir2 0.500 0.000 0.000

---

# 3
La3Mg6Sn5: computed X-ray diffraction stick pattern (Cu Kα, 1.54184 Å), based on a cell relaxed with PBE.
Lines closer than 0.1° are merged.

The 10 most intense peaks (10 to 90 degrees two-theta), sorted by position:
3.610 Å, I 16; 3.319 Å, I 30; 3.182 Å, I 14; 2.911 Å, I 28; 2.854 Å, I 100; 2.364 Å, I 29; 2.331 Å, I 29; 2.021 Å, I 17; 1.660 Å, I 13; 1.527 Å, I 14

Atomic structure:
Unit cell a=4.661 b=14.183 c=11.179 alpha=90.00 beta=90.00 gamma=90.00
Fractional coordinates of all 28 atoms:
La1 0.250 0.073 0.249
La2 0.250 0.427 0.249
La3 0.250 0.750 0.236
La4 0.750 0.250 0.764
La5 0.750 0.573 0.751
La6 0.750 0.927 0.751
Mg1 0.250 0.078 0.897
Mg2 0.250 0.250 0.045
Mg3 0.250 0.250 0.481
Mg4 0.250 0.422 0.897
Mg5 0.250 0.593 0.511
Mg6 0.250 0.907 0.511
Mg7 0.750 0.093 0.489
Mg8 0.750 0.407 0.489
Mg9 0.750 0.578 0.103
Mg10 0.750 0.750 0.519
Mg11 0.750 0.750 0.955
Mg12 0.750 0.922 0.103
Sn1 0.250 0.090 0.646
Sn2 0.250 0.410 0.646
Sn3 0.250 0.619 0.968
Sn4 0.250 0.750 0.699
Sn5 0.250 0.881 0.968
Sn6 0.750 0.119 0.032
Sn7 0.750 0.250 0.301
Sn8 0.750 0.381 0.032
Sn9 0.750 0.590 0.354
Sn10 0.750 0.910 0.354

---

# 4
Sr2CaI6: computed X-ray diffraction stick pattern (Cu Kα, 1.54184 Å), based on a cell relaxed with PBE.
Lines closer than 0.1° are merged.

The 10 most intense peaks (10 to 90 degrees two-theta), sorted by position:
3.698 Å, I 19; 3.585 Å, I 47; 3.524 Å, I 100; 2.746 Å, I 24; 2.718 Å, I 37; 2.349 Å, I 34; 2.297 Å, I 14; 2.100 Å, I 23; 1.934 Å, I 15; 1.453 Å, I 14

Atomic structure:
Unit cell a=7.396 b=27.569 c=8.197 alpha=90.00 beta=90.00 gamma=90.00
Fractional coordinates of all 36 atoms:
Sr1 0.000 0.048 0.250
Sr2 0.000 0.285 0.750
Sr3 0.000 0.715 0.250
Sr4 0.000 0.952 0.750
Sr5 0.500 0.215 0.250
Sr6 0.500 0.452 0.750
Sr7 0.500 0.548 0.250
Sr8 0.500 0.785 0.750
Ca1 0.000 0.381 0.250
Ca2 0.000 0.619 0.750
Ca3 0.500 0.119 0.750
Ca4 0.500 0.881 0.250
I1 0.240 0.371 0.566
I2 0.240 0.629 0.066
I3 0.241 0.299 0.084
I4 0.241 0.701 0.584
I5 0.250 0.039 0.584
I6 0.250 0.461 0.084
I7 0.250 0.539 0.584
I8 0.250 0.961 0.084
I9 0.259 0.201 0.584
I10 0.259 0.799 0.084
I11 0.260 0.129 0.066
I12 0.260 0.871 0.566
I13 0.740 0.129 0.434
I14 0.740 0.871 0.934
I15 0.741 0.201 0.916
I16 0.741 0.799 0.416
I17 0.750 0.039 0.916
I18 0.750 0.461 0.416
I19 0.750 0.539 0.916
I20 0.750 0.961 0.416
I21 0.759 0.299 0.416
I22 0.759 0.701 0.916
I23 0.760 0.371 0.934
I24 0.760 0.629 0.434

---

# 5
Pa4Pt: computed X-ray diffraction stick pattern (Cu Kα, 1.54184 Å), based on a cell relaxed with PBE.
Lines closer than 0.1° are merged.

The 10 most intense peaks (10 to 90 degrees two-theta), sorted by position:
2.992 Å, I 18; 2.669 Å, I 15; 2.610 Å, I 100; 2.325 Å, I 15; 2.116 Å, I 25; 2.086 Å, I 19; 1.553 Å, I 12; 1.529 Å, I 20; 1.417 Å, I 8; 1.358 Å, I 14

Atomic structure:
Unit cell a=6.691 b=6.691 c=5.338 alpha=90.00 beta=90.00 gamma=90.00
Fractional coordinates of all 10 atoms:
Pa1 0.141 0.320 0.000
Pa2 0.141 0.680 0.500
Pa3 0.320 0.141 0.500
Pa4 0.320 0.859 0.000
Pa5 0.680 0.141 0.000
Pa6 0.680 0.859 0.500
Pa7 0.859 0.320 0.500
Pa8 0.859 0.680 0.000
Pt1 0.500 0.500 0.250
Pt2 0.500 0.500 0.750

---

# 6
Li4Pa3NiS8: computed X-ray diffraction stick pattern (Cu Kα, 1.54184 Å), based on a cell relaxed with PBE.
Lines closer than 0.1° are merged.

The 10 most intense peaks (10 to 90 degrees two-theta), sorted by position:
6.299 Å, I 100; 3.316 Å, I 24; 3.180 Å, I 41; 3.153 Å, I 18; 3.060 Å, I 17; 2.752 Å, I 27; 2.659 Å, I 49; 2.499 Å, I 13; 2.461 Å, I 22; 1.913 Å, I 36

Atomic structure:
Unit cell a=7.651 b=7.651 c=7.693 alpha=120.06 beta=120.06 gamma=57.51
Fractional coordinates of all 16 atoms:
Li1 0.000 0.000 0.000
Li2 0.000 0.500 0.500
Li3 0.500 0.000 0.500
Li4 0.500 0.500 0.000
Pa1 0.000 0.000 0.500
Pa2 0.000 0.500 0.000
Pa3 0.500 0.000 0.000
Ni1 0.500 0.500 0.500
S1 0.230 0.230 0.237
S2 0.250 0.250 0.732
S3 0.271 0.725 0.263
S4 0.275 0.729 0.737
S5 0.725 0.271 0.263
S6 0.729 0.275 0.737
S7 0.750 0.750 0.268
S8 0.770 0.770 0.763

---

# 7
Ce2Cu2BRh4: computed X-ray diffraction stick pattern (Cu Kα, 1.54184 Å), based on a cell relaxed with PBE.
Lines closer than 0.1° are merged.

The 10 most intense peaks (10 to 90 degrees two-theta), sorted by position:
4.230 Å, I 6; 2.880 Å, I 6; 2.381 Å, I 100; 2.115 Å, I 37; 1.966 Å, I 14; 1.496 Å, I 12; 1.440 Å, I 20; 1.266 Å, I 26; 1.201 Å, I 10; 1.190 Å, I 11

Atomic structure:
Unit cell a=5.776 b=5.776 c=5.776 alpha=117.62 beta=117.62 gamma=94.17
Fractional coordinates of all 9 atoms:
Ce1 0.250 0.750 0.500
Ce2 0.750 0.250 0.500
Cu1 0.229 0.229 0.000
Cu2 0.771 0.771 0.000
B1 0.500 0.500 0.000
Rh1 0.248 0.248 0.495
Rh2 0.248 0.752 0.000
Rh3 0.752 0.248 0.000
Rh4 0.752 0.752 0.505

---

# 8
KCoN: computed X-ray diffraction stick pattern (Cu Kα, 1.54184 Å), based on a cell relaxed with PBE.
Lines closer than 0.1° are merged.

The 10 most intense peaks (10 to 90 degrees two-theta), sorted by position:
4.463 Å, I 35; 3.489 Å, I 97; 3.471 Å, I 100; 2.976 Å, I 44; 2.752 Å, I 66; 2.737 Å, I 63; 2.683 Å, I 35; 2.510 Å, I 32; 2.232 Å, I 53; 1.908 Å, I 71

Atomic structure:
Unit cell a=9.405 b=6.070 c=6.063 alpha=90.00 beta=108.36 gamma=90.00
Fractional coordinates of all 12 atoms:
K1 0.239 0.000 0.117
K2 0.239 0.500 0.617
K3 0.761 0.000 0.883
K4 0.761 0.500 0.383
Co1 0.000 0.132 0.368
Co2 0.000 0.368 0.868
Co3 0.000 0.632 0.132
Co4 0.000 0.868 0.632
N1 0.000 0.163 0.664
N2 0.000 0.337 0.164
N3 0.000 0.663 0.836
N4 0.000 0.837 0.336